For Nd4CuNiO8, a cell relaxed with PBE+U gives the calculated powder diffraction line list in this record (copper Kα).
Peak positions follow from Bragg's law for the DFT cell and can differ from measured ones.

Cell and atoms:
```
data_Nd4CuNiO8
_chemical_formula_sum 'Nd8 Cu2 Ni2 O16'
_cell_length_a 12.642
_cell_length_b 5.385
_cell_length_c 5.433
_cell_angle_alpha 90.00
_cell_angle_beta 90.00
_cell_angle_gamma 90.00
_symmetry_space_group_name_H-M 'A m m 2'
_symmetry_Int_Tables_number 38
loop_
_symmetry_equiv_pos_as_xyz
'x,y,z'
'-x,-y,z'
'-x,y,z'
'x,-y,z'
'x,y+1/2,z+1/2'
'-x,-y+1/2,z+1/2'
'-x,y+1/2,z+1/2'
'x,-y+1/2,z+1/2'
loop_
_atom_site_label
_atom_site_type_symbol
_atom_site_fract_x
_atom_site_fract_y
_atom_site_fract_z
_atom_site_occupancy
Nd1 Nd 0.134 0.000 0.000 1
Nd2 Nd 0.361 0.000 0.523 1
Cu1 Cu 0.500 0.000 0.016 1
Ni1 Ni 0.000 0.000 0.496 1
O1 O 0.000 0.247 0.749 1
O2 O 0.177 0.000 0.485 1
O3 O 0.313 0.000 0.967 1
O4 O 0.500 0.246 0.268 1
```

Principal peaks in the range 2θ = 10–90°, low angle first:
2θ (°), I/Imax, (hkl)
24.31, 283, 1 1 1
31.59, 1000, 3 1 1
32.97, 353, 0 0 2
33.28, 358, 0 2 0
42.89, 329, 6 0 0
43.95, 152, 4 0 2
44.19, 153, 4 2 0
47.55, 345, 0 2 2
58.02, 180, 3 1 3
58.41, 231, 8 0 0